Starting from a DFT-relaxed cell (PBE, Alexandria), the PXRD pattern of FeCuC6N8 was computed for a wavelength of 1.5418 Å.

Structure:
```
16
Lattice="0.000 5.096 5.096 5.096 0.000 5.096 5.096 5.096 0.000" Properties=species:S:1:pos:R:3 pbc="T T T"
Fe 0.000 0.000 0.000
Cu 5.096 5.096 5.096
C 5.096 5.096 1.909
C 5.096 1.909 5.096
C 8.282 5.096 5.096
C 1.909 5.096 5.096
C 5.096 8.282 5.096
C 5.096 5.096 8.282
N 2.548 2.548 2.548
N 5.096 5.096 3.079
N 5.096 3.079 5.096
N 7.113 5.096 5.096
N 3.079 5.096 5.096
N 5.096 7.113 5.096
N 5.096 5.096 7.113
N 7.644 7.644 7.644
```

Peak list (6 most intense, 2θ = 10–90°, sorted by position)
Position (°2θ)	I_rel
17.4	100.0
24.7	52.0
35.2	39.7
39.5	24.7
50.7	16.7
57.2	17.5

=====

Starting from a DFT-relaxed cell (PBE, Alexandria), the PXRD pattern of Na2FeCuC6N6 was computed for a wavelength of 1.5418 Å.

Structure:
```
16
Lattice="0.000 5.125 5.125 5.125 0.000 5.125 5.125 5.125 0.000" Properties=species:S:1:pos:R:3 pbc="T T T"
Na 2.563 2.563 2.563
Na 7.688 7.688 7.688
Fe 0.000 0.000 0.000
Cu 5.125 5.125 5.125
C 5.125 5.125 1.869
C 5.125 1.869 5.125
C 8.382 5.125 5.125
C 1.869 5.125 5.125
C 5.125 8.382 5.125
C 5.125 5.125 8.382
N 5.125 5.125 3.049
N 5.125 3.049 5.125
N 7.202 5.125 5.125
N 3.049 5.125 5.125
N 5.125 7.202 5.125
N 5.125 5.125 7.202
```

Peak list (6 most intense, 2θ = 10–90°, sorted by position)
Position (°2θ)	I_rel
17.3	100.0
24.6	86.1
35.0	59.0
43.2	22.0
50.4	26.7
56.8	28.5

=====

Starting from a DFT-relaxed cell (PBE, Alexandria), the PXRD pattern of Na2FeCuC6N6 was computed for a wavelength of 1.5418 Å.

Structure:
```
16
Lattice="6.695 0.000 0.000 0.000 6.008 0.000 -2.349 0.000 6.470" Properties=species:S:1:pos:R:3 pbc="T T T"
Na 0.000 0.000 0.000
Na 2.173 0.000 3.235
Fe -1.174 3.004 3.235
Cu 3.348 0.000 0.000
C -0.525 1.818 4.527
C -0.525 4.190 4.527
C 0.503 3.004 2.340
C 3.843 3.004 4.130
C 4.871 1.818 1.943
C 4.871 4.190 1.943
N -0.113 1.269 5.491
N -0.113 4.739 5.491
N 1.530 3.004 1.757
N 2.817 3.004 4.713
N 4.460 1.269 0.979
N 4.460 4.739 0.979
```

Peak list (6 most intense, 2θ = 10–90°, sorted by position)
Position (°2θ)	I_rel
15.9	67.5
20.2	100.0
20.4	65.0
30.9	23.1
32.2	41.2
41.6	23.0

=====

Starting from a DFT-relaxed cell (PBE, Alexandria), the PXRD pattern of Rb2FeCuC6N6 was computed for a wavelength of 1.5418 Å.

Structure:
```
16
Lattice="0.000 5.155 5.155 5.155 0.000 5.155 5.155 5.155 0.000" Properties=species:S:1:pos:R:3 pbc="T T T"
Rb 2.578 2.578 2.578
Rb 7.733 7.733 7.733
Fe 0.000 0.000 0.000
Cu 5.155 5.155 5.155
C 5.155 5.155 1.877
C 5.155 1.877 5.155
C 8.433 5.155 5.155
C 1.877 5.155 5.155
C 5.155 8.433 5.155
C 5.155 5.155 8.433
N 5.155 5.155 3.058
N 5.155 3.058 5.155
N 7.252 5.155 5.155
N 3.058 5.155 5.155
N 5.155 7.252 5.155
N 5.155 5.155 7.252
```

Peak list (6 most intense, 2θ = 10–90°, sorted by position)
Position (°2θ)	I_rel
24.4	100.0
34.8	43.2
43.0	33.2
50.0	22.7
56.4	26.7
68.1	24.2

=====

Starting from a DFT-relaxed cell (PBE, Alexandria), the PXRD pattern of YFeCuC was computed for a wavelength of 1.5418 Å.

Structure:
```
8
Lattice="3.407 0.000 0.000 0.000 3.407 0.000 0.000 0.000 9.718" Properties=species:S:1:pos:R:3 pbc="T T T"
Y 0.852 0.852 2.345
Y 2.555 2.555 7.372
Fe 0.852 2.555 0.000
Fe 2.555 0.852 0.000
Cu 0.852 2.555 4.859
Cu 2.555 0.852 4.859
C 0.852 0.852 8.731
C 2.555 2.555 0.987
```

Peak list (6 most intense, 2θ = 10–90°, sorted by position)
Position (°2θ)	I_rel
27.7	47.0
37.0	33.4
38.3	27.2
41.9	100.0
53.8	25.7
67.1	21.4

=====

Starting from a DFT-relaxed cell (PBE, Alexandria), the PXRD pattern of GaCuC was computed for a wavelength of 1.5418 Å.

Structure:
```
6
Lattice="3.254 0.000 0.000 -1.611 4.734 0.000 -0.004 -1.642 4.972" Properties=species:S:1:pos:R:3 pbc="T T T"
Ga 0.000 0.000 0.000
Ga -0.007 1.278 2.536
Cu 0.008 3.686 1.925
Cu 1.640 2.325 0.610
C 1.625 -0.807 4.075
C 1.619 0.442 3.432
```

Peak list (6 most intense, 2θ = 10–90°, sorted by position)
Position (°2θ)	I_rel
32.7	45.1
36.1	100.0
40.1	36.3
40.7	37.6
40.8	38.7
49.7	36.1

=====

Starting from a DFT-relaxed cell (PBE, Alexandria), the PXRD pattern of LiCuHCO4 was computed for a wavelength of 1.5418 Å.

Structure:
```
48
Lattice="10.630 0.000 0.000 -5.315 9.206 0.000 0.000 0.000 5.900" Properties=species:S:1:pos:R:3 pbc="T T T"
Li -0.404 3.168 1.475
Li -2.369 7.972 1.475
Li 2.541 1.934 4.425
Li 2.774 7.272 1.475
Li 7.684 1.234 4.425
Li 5.719 6.038 4.425
Cu -2.658 4.603 0.000
Cu -2.658 4.603 2.950
Cu 5.315 0.000 0.000
Cu 5.315 0.000 2.950
Cu 2.658 4.603 0.000
Cu 2.658 4.603 2.950
H -1.026 5.539 1.475
H -0.005 7.325 1.475
H 1.031 5.548 1.475
H 4.284 3.658 4.425
H 5.320 1.881 4.425
H 6.341 3.667 4.425
C -0.289 3.590 4.425
C -2.062 7.661 4.425
C 2.964 2.045 1.475
C 2.351 7.161 4.425
C 7.377 1.545 1.475
C 5.604 5.616 1.475
O -3.193 7.087 4.425
O -1.990 5.690 1.475
O -0.830 3.955 3.287
O -0.830 3.955 5.563
O 0.774 2.897 4.425
O -1.475 7.947 3.287
O -1.475 7.947 5.563
O 2.896 0.778 1.475
O 1.382 4.637 1.475
O 3.010 2.697 0.337
O 3.010 2.697 2.613
O 0.608 8.084 1.475
O 4.707 1.122 4.425
O 2.305 6.509 3.287
O 2.305 6.509 5.563
O 3.933 4.568 4.425
O 2.419 8.427 4.425
O 6.790 1.258 0.337
O 6.790 1.258 2.613
O 4.541 6.309 1.475
O 6.145 5.251 0.337
O 6.145 5.251 2.613
O 7.305 3.516 4.425
O 8.508 2.119 1.475
```

Peak list (6 most intense, 2θ = 10–90°, sorted by position)
Position (°2θ)	I_rel
16.7	74.2
19.3	100.0
33.7	40.1
36.2	68.8
52.6	24.8
61.9	35.2

=====

Starting from a DFT-relaxed cell (PBE, Alexandria), the PXRD pattern of LiCuHCO4 was computed for a wavelength of 1.5418 Å.

Structure:
```
48
Lattice="11.181 0.000 0.000 -5.591 9.683 0.000 0.000 0.000 5.334" Properties=species:S:1:pos:R:3 pbc="T T T"
Li -4.342 7.961 1.333
Li 0.867 1.942 1.333
Li 2.115 0.220 4.000
Li 3.475 9.463 1.333
Li 4.723 7.741 4.000
Li 9.933 1.722 4.000
Cu -2.795 4.842 0.000
Cu -2.795 4.842 2.667
Cu 5.591 0.000 0.000
Cu 5.591 0.000 2.667
Cu 2.795 4.842 0.000
Cu 2.795 4.842 2.667
H -1.443 6.422 1.333
H 0.751 5.222 1.333
H 0.693 7.722 1.333
H 4.898 1.961 4.000
H 4.840 4.461 4.000
H 7.034 3.261 4.000
C -3.822 7.178 4.000
C 1.285 2.784 4.000
C 3.053 0.279 1.333
C 2.537 9.404 4.000
C 4.306 6.900 1.333
C 9.413 2.505 1.333
O -4.523 8.252 4.000
O -3.480 6.667 2.852
O -3.480 6.667 5.149
O -1.495 5.439 1.333
O 0.706 1.640 4.000
O 1.773 0.209 1.333
O 1.556 3.336 2.852
O 1.556 3.336 5.149
O 3.667 0.320 0.185
O 3.667 0.320 2.482
O -0.132 8.259 1.333
O 1.628 5.668 1.333
O 3.963 4.015 4.000
O 5.723 1.425 4.000
O 1.923 9.363 2.852
O 1.923 9.363 5.149
O 4.034 6.347 0.185
O 4.034 6.347 2.482
O 3.817 9.475 4.000
O 4.885 8.043 1.333
O 7.086 4.244 4.000
O 9.070 3.016 0.185
O 9.070 3.016 2.482
O 10.114 1.431 1.333
```

Peak list (6 most intense, 2θ = 10–90°, sorted by position)
Position (°2θ)	I_rel
15.9	42.3
18.3	100.0
24.3	28.8
38.5	28.0
47.1	19.4
61.5	17.8